# 1
Calculated PXRD pattern
Compound: Ti3Be
Radiation: Cu Kα (λ = 1.5418 Å)
Structure: a structure optimized by DFT (PBE)
Lines closer than 0.1° are merged.

Structural model:
```
Ti3Be
1.0
5.551 0.000 0.000
-2.776 4.807 0.000
0.000 0.000 4.486
Ti Be
6 2
direct
0.174 0.348 0.250
0.174 0.826 0.250
0.348 0.174 0.750
0.652 0.826 0.250
0.826 0.174 0.750
0.826 0.652 0.750
0.333 0.667 0.750
0.667 0.333 0.250
```

Largest 6 diffraction maxima, in order of rising 2θ, 5° ≤ 2θ ≤ 70°:
d 3.280, 27.19 deg, intensity 36
d 2.404, 37.41 deg, intensity 25
d 2.243, 40.21 deg, intensity 27
d 2.119, 42.68 deg, intensity 100
d 1.640, 56.08 deg, intensity 14
d 1.388, 67.49 deg, intensity 14

# 2
Calculated PXRD pattern
Compound: TiBe
Radiation: Cu Kα (λ = 1.5418 Å)
Structure: a structure optimized by DFT (PBE)
Lines closer than 0.1° are merged.

Structural model:
```
TiBe
1.0
2.931 0.000 0.000
0.000 2.931 0.000
0.000 0.000 2.931
Ti Be
1 1
direct
0.000 0.000 0.000
0.500 0.500 0.500
```

Largest 4 diffraction maxima, in order of rising 2θ, 5° ≤ 2θ ≤ 70°:
d 2.931, 30.50 deg, intensity 86
d 2.072, 43.68 deg, intensity 100
d 1.692, 54.21 deg, intensity 20
d 1.465, 63.48 deg, intensity 15

# 3
Calculated PXRD pattern
Compound: Ti3Be
Radiation: Cu Kα (λ = 1.5418 Å)
Structure: a structure optimized by DFT (PBE)
Lines closer than 0.1° are merged.

Structural model:
```
Ti3Be
1.0
3.850 0.000 0.000
0.000 3.850 0.000
0.000 0.000 8.026
Ti Be
6 2
direct
0.000 0.000 0.000
0.000 0.500 0.250
0.000 0.500 0.750
0.500 0.000 0.250
0.500 0.000 0.750
0.500 0.500 0.500
0.000 0.000 0.500
0.500 0.500 0.000
```

Largest 6 diffraction maxima, in order of rising 2θ, 5° ≤ 2θ ≤ 70°:
d 4.013, 22.15 deg, intensity 10
d 3.472, 25.66 deg, intensity 27
d 2.253, 40.02 deg, intensity 100
d 2.006, 45.19 deg, intensity 17
d 1.925, 47.21 deg, intensity 30
d 1.389, 67.41 deg, intensity 18

# 4
Calculated PXRD pattern
Compound: TiBe3
Radiation: Cu Kα (λ = 1.5418 Å)
Structure: a structure optimized by DFT (PBE)
Lines closer than 0.1° are merged.

Structural model:
```
TiBe3
1.0
2.242 1.294 7.074
-2.242 1.294 7.074
0.000 -2.589 7.074
Ti Be
3 9
direct
0.000 0.000 0.000
0.142 0.142 0.142
0.858 0.858 0.858
0.079 0.582 0.582
0.334 0.334 0.334
0.418 0.418 0.921
0.418 0.921 0.418
0.500 0.500 0.500
0.582 0.079 0.582
0.582 0.582 0.079
0.666 0.666 0.666
0.921 0.418 0.418
```

Largest 6 diffraction maxima, in order of rising 2θ, 5° ≤ 2θ ≤ 70°:
d 3.820, 23.29 deg, intensity 100
d 2.390, 37.64 deg, intensity 80
d 2.242, 40.22 deg, intensity 72
d 2.190, 41.21 deg, intensity 41
d 1.934, 47.00 deg, intensity 32
d 1.894, 48.05 deg, intensity 68